Simulated X-ray powder pattern of BaCrIF4 for CuKα, from the PBE+U geometry in Alexandria.
Kinematic intensities with the Lorentz-polarization factor, no thermal factor.

Most intense lines, 10° ≤ 2θ ≤ 90°, sorted by position:
d/Å, I_rel
6.456, 37
3.895, 100
3.875, 49
3.770, 36
3.350, 28
3.228, 25
2.862, 53
2.759, 44
2.537, 39
1.948, 34

Crystal structure
Lattice parameters (Å, degrees): 8.015 8.015 6.750 104.79 104.79 58.15
Fractional positions:
Ba (0.250, 0.250, 0.158)
Ba (0.750, 0.750, 0.842)
Cr (0.399, 0.399, 0.819)
Cr (0.601, 0.601, 0.181)
I (0.001, 0.001, 0.253)
I (0.999, 0.999, 0.747)
F (0.125, 0.476, 0.851)
F (0.362, 0.362, 0.525)
F (0.450, 0.450, 0.133)
F (0.476, 0.125, 0.851)
F (0.524, 0.875, 0.149)
F (0.550, 0.550, 0.867)
F (0.638, 0.638, 0.475)
F (0.875, 0.524, 0.149)